Diffraction record for Li5Fe8B8O24. The powder X-ray diffraction pattern is computed, not measured: it uses a structure optimized by DFT (GGA+U) and Cu Kα (weighted mean of Kα1 and Kα2).
No peak broadening, texture or thermal motion is included.

Cell and atoms:
Cell lengths 5.2244, 9.0749, 11.4261 Å; angles 67.31, 77.53, 89.72 degrees
Element x y z (fractional)
Li (0.0000, 0.0000, 0.0000)
Li (0.0292, 0.0342, 0.2493)
Li (0.2692, 0.2495, 0.4809)
Li (0.3169, 0.2768, 0.7469)
Li (0.5371, 0.5382, 0.2374)
Fe (0.0387, 0.3491, 0.9679)
Fe (0.0462, 0.7114, 0.2212)
Fe (0.2902, 0.9201, 0.4627)
Fe (0.3145, 0.6318, 0.7193)
Fe (0.5218, 0.8352, 0.9596)
Fe (0.5539, 0.2230, 0.2049)
Fe (0.7715, 0.4351, 0.4727)
Fe (0.8259, 0.1167, 0.7141)
B (0.0215, 0.6847, 0.9602)
B (0.0548, 0.3799, 0.2192)
B (0.2632, 0.5902, 0.4665)
B (0.3316, 0.9692, 0.7069)
B (0.5322, 0.1648, 0.9621)
B (0.5648, 0.8832, 0.2105)
B (0.7890, 0.0969, 0.4602)
B (0.8076, 0.4598, 0.7208)
O (0.0362, 0.6184, 0.4225)
O (0.0624, 0.4482, 0.7471)
O (0.1423, 0.7901, 0.0002)
O (0.1710, 0.5868, 0.9104)
O (0.2143, 0.1095, 0.6914)
O (0.2446, 0.8620, 0.6596)
O (0.2748, 0.1748, 0.9475)
O (0.3099, 0.3791, 0.2326)
O (0.3547, 0.6945, 0.5163)
O (0.4008, 0.9754, 0.2639)
O (0.4021, 0.4639, 0.4586)
O (0.4538, 0.7749, 0.1714)
O (0.5383, 0.1042, 0.4323)
O (0.5400, 0.9331, 0.7668)
O (0.6502, 0.2598, 0.0065)
O (0.6611, 0.5824, 0.7258)
O (0.6806, 0.0464, 0.9322)
O (0.7083, 0.3426, 0.6874)
O (0.7565, 0.6786, 0.9750)
O (0.8331, 0.9029, 0.1945)
O (0.8730, 0.2036, 0.5065)
O (0.8920, 0.4888, 0.2479)
O (0.9526, 0.9877, 0.4364)
O (0.9591, 0.2692, 0.1770)

Top 10 peaks for 2θ = 5–70°, in order of falling intensity:
2θ/deg  I (rel.)  index
19.6  100  1 -1 0
35.0  96  0 0 4
21.5  69  0 2 2
34.3  68  2 0 1
21.6  63  1 1 2
26.0  62  0 2 -1
40.6  47  2 2 1
34.2  27  1 3 2
26.4  24  0 2 3
54.0  21  1 5 2